The following is a computed X-ray diffraction stick pattern of LiMnCdH6. It was derived from the GGA-PBE geometry in Alexandria, using λ = 1.5418 Å (Cu Kα).
Lines closer than 0.1° are merged.

Atomic structure:
```
data_LiMnCdH6
_symmetry_space_group_name_H-M 'P 63/m m c'
_symmetry_Int_Tables_number 194
_symmetry_space_group_name_Hall '-P 6c 2c'
_cell_length_a 4.5711
_cell_length_b 4.5711
_cell_length_c 8.2436
_cell_angle_alpha 90.00
_cell_angle_beta 90.00
_cell_angle_gamma 120.00
loop_
_atom_site_label
_atom_site_fract_x
_atom_site_fract_y
_atom_site_fract_z
_atom_site_occupancy
Li1 0.3333 0.6667 0.2500 1
Mn1 0.3333 0.6667 0.7500 1
Cd1 0.0000 0.0000 0.0000 1
H1 0.0363 0.5181 0.6192 1
```

Principal peaks in the range 10° ≤ 2θ ≤ 90°, low angle first:
hkl 1 0 0, d = 3.959 Å, I = 35
hkl 1 0 1, d = 3.569 Å, I = 18
hkl 1 0 2, d = 2.855 Å, I = 100
hkl 1 1 0, d = 2.286 Å, I = 38
hkl 0 0 4, d = 2.061 Å, I = 9
hkl 2 0 0, d = 1.979 Å, I = 7
hkl 1 0 4, d = 1.828 Å, I = 9
hkl 2 0 2, d = 1.784 Å, I = 24
hkl 1 1 4, d = 1.531 Å, I = 21
hkl 2 1 2, d = 1.406 Å, I = 21
hkl 1 0 6, d = 1.298 Å, I = 8
hkl 3 0 4, d = 1.111 Å, I = 7


The following is a computed X-ray diffraction stick pattern of Na2LiCdH5. It was derived from the GGA-PBE geometry in Alexandria, using λ = 1.5418 Å (Cu Kα).
Lines closer than 0.1° are merged.

Atomic structure:
```
data_Na2LiCdH5
_symmetry_space_group_name_H-M 'C m c 21'
_symmetry_Int_Tables_number 36
_cell_length_a 3.217
_cell_length_b 12.866
_cell_length_c 10.516
_cell_angle_alpha 90.00
_cell_angle_beta 90.00
_cell_angle_gamma 90.00
loop_
_symmetry_equiv_pos_as_xyz
'x,y,z'
'-x,-y,z+1/2'
'-x,y,z'
'x,-y,z+1/2'
'x+1/2,y+1/2,z'
'-x+1/2,-y+1/2,z+1/2'
'-x+1/2,y+1/2,z'
'x+1/2,-y+1/2,z+1/2'
loop_
_atom_site_label
_atom_site_fract_x
_atom_site_fract_y
_atom_site_fract_z
_atom_site_occupancy
Na1 0.000 0.102 0.000 1
Na2 0.000 0.160 0.642 1
Li1 0.000 0.221 0.371 1
Cd1 0.000 0.461 0.777 1
H1 0.000 0.054 0.380 1
H2 0.000 0.273 0.005 1
H3 0.000 0.309 0.756 1
H4 0.000 0.378 0.334 1
H5 0.000 0.499 0.109 1
```

Principal peaks in the range 10° ≤ 2θ ≤ 90°, low angle first:
hkl 0 2 0, d = 6.433 Å, I = 100
hkl 0 2 1, d = 5.488 Å, I = 24
hkl 0 0 2, d = 5.258 Å, I = 63
hkl 0 2 2, d = 4.071 Å, I = 73
hkl 1 1 0, d = 3.121 Å, I = 27
hkl 0 4 1, d = 3.077 Å, I = 79
hkl 1 1 2, d = 2.684 Å, I = 96
hkl 1 3 0, d = 2.573 Å, I = 35
hkl 1 3 1, d = 2.500 Å, I = 34
hkl 0 2 4, d = 2.434 Å, I = 29
hkl 1 1 4, d = 2.011 Å, I = 32
hkl 1 5 3, d = 1.743 Å, I = 28


The following is a computed X-ray diffraction stick pattern of Rb3LiCd2H8. It was derived from the GGA-PBE geometry in Alexandria, using λ = 1.5418 Å (Cu Kα).
Lines closer than 0.1° are merged.

Atomic structure:
```
data_Rb3LiCd2H8
_symmetry_space_group_name_H-M 'P -3 m 1'
_symmetry_Int_Tables_number 164
_symmetry_space_group_name_Hall '-P 3 2"'
_cell_length_a 5.9970
_cell_length_b 5.9970
_cell_length_c 7.9494
_cell_angle_alpha 90.00
_cell_angle_beta 90.00
_cell_angle_gamma 120.00
loop_
_atom_site_label
_atom_site_fract_x
_atom_site_fract_y
_atom_site_fract_z
_atom_site_occupancy
Rb1 0.0000 0.0000 0.0000 1
Rb2 0.3333 0.6667 0.6707 1
Li1 0.0000 0.0000 0.5000 1
Cd1 0.3333 0.6667 0.2400 1
H1 0.1674 0.3348 0.3358 1
H2 0.3333 0.6667 0.0151 1
```

Principal peaks in the range 10° ≤ 2θ ≤ 90°, low angle first:
hkl 1 0 0, d = 5.194 Å, I = 19
hkl 0 1 1, d = 4.348 Å, I = 37
hkl 0 0 2, d = 3.975 Å, I = 15
hkl 0 1 2, d = 3.156 Å, I = 79
hkl 1 1 0, d = 2.999 Å, I = 100
hkl 1 1 2, d = 2.394 Å, I = 22
hkl 1 0 3, d = 2.360 Å, I = 14
hkl 2 0 2, d = 2.174 Å, I = 29
hkl 1 2 2, d = 1.760 Å, I = 28
hkl 3 0 0, d = 1.731 Å, I = 19
hkl 2 0 5, d = 1.355 Å, I = 19
hkl 1 2 5, d = 1.235 Å, I = 15


The following is a computed X-ray diffraction stick pattern of Mg4CdHPb. It was derived from the GGA-PBE geometry in Alexandria, using λ = 1.5418 Å (Cu Kα).
Lines closer than 0.1° are merged.

Atomic structure:
```
data_Mg4CdHPb
_symmetry_space_group_name_H-M 'C m c m'
_symmetry_Int_Tables_number 63
_symmetry_space_group_name_Hall '-C 2c 2'
_cell_length_a 6.197
_cell_length_b 15.229
_cell_length_c 6.206
_cell_angle_alpha 90.00
_cell_angle_beta 90.00
_cell_angle_gamma 90.00
loop_
_atom_site_label
_atom_site_fract_x
_atom_site_fract_y
_atom_site_fract_z
_atom_site_occupancy
Mg1 0.000 0.077 0.250 1
Mg2 0.000 0.408 0.250 1
Mg3 0.250 0.250 0.000 1
Cd1 0.000 0.112 0.750 1
H1 0.000 0.262 0.250 1
Pb1 0.000 0.394 0.750 1
```

Principal peaks in the range 10° ≤ 2θ ≤ 90°, low angle first:
hkl 1 1 1, d = 4.214 Å, I = 93
hkl 0 4 0, d = 3.807 Å, I = 43
hkl 1 3 1, d = 3.318 Å, I = 97
hkl 2 0 0, d = 3.101 Å, I = 76
hkl 2 2 0, d = 2.872 Å, I = 25
hkl 2 4 0, d = 2.404 Å, I = 100
hkl 2 0 2, d = 2.193 Å, I = 51
hkl 1 7 1, d = 1.948 Å, I = 45
hkl 2 4 2, d = 1.901 Å, I = 31
hkl 3 3 1, d = 1.829 Å, I = 37
hkl 3 7 1, d = 1.457 Å, I = 26
hkl 4 4 2, d = 1.303 Å, I = 28


The following is a computed X-ray diffraction stick pattern of Mg4CdSnH. It was derived from the GGA-PBE geometry in Alexandria, using λ = 1.5418 Å (Cu Kα).
Lines closer than 0.1° are merged.

Atomic structure:
```
data_Mg4CdSnH
_symmetry_space_group_name_H-M 'C m c m'
_symmetry_Int_Tables_number 63
_symmetry_space_group_name_Hall '-C 2c 2'
_cell_length_a 6.185
_cell_length_b 14.988
_cell_length_c 6.152
_cell_angle_alpha 90.00
_cell_angle_beta 90.00
_cell_angle_gamma 90.00
loop_
_atom_site_label
_atom_site_fract_x
_atom_site_fract_y
_atom_site_fract_z
_atom_site_occupancy
Mg1 0.000 0.080 0.250 1
Mg2 0.000 0.414 0.250 1
Mg3 0.250 0.250 0.000 1
Cd1 0.000 0.111 0.750 1
Sn1 0.000 0.390 0.750 1
H1 0.000 0.262 0.250 1
```

Principal peaks in the range 10° ≤ 2θ ≤ 90°, low angle first:
hkl 1 1 1, d = 4.188 Å, I = 100
hkl 0 4 0, d = 3.747 Å, I = 47
hkl 1 3 1, d = 3.286 Å, I = 88
hkl 2 0 0, d = 3.092 Å, I = 44
hkl 0 0 2, d = 3.076 Å, I = 43
hkl 0 6 0, d = 2.498 Å, I = 22
hkl 2 4 0, d = 2.385 Å, I = 67
hkl 0 4 2, d = 2.377 Å, I = 67
hkl 2 0 2, d = 2.181 Å, I = 68
hkl 1 7 1, d = 1.922 Å, I = 35
hkl 2 4 2, d = 1.885 Å, I = 28
hkl 2 6 2, d = 1.643 Å, I = 24


The following is a computed X-ray diffraction stick pattern of RbMnCdH6. It was derived from the GGA-PBE geometry in Alexandria, using λ = 1.5418 Å (Cu Kα).
Lines closer than 0.1° are merged.

Atomic structure:
```
data_RbMnCdH6
_symmetry_space_group_name_H-M 'P -6 m 2'
_symmetry_Int_Tables_number 187
_symmetry_space_group_name_Hall 'P -6 2'
_cell_length_a 4.8786
_cell_length_b 4.8786
_cell_length_c 5.5548
_cell_angle_alpha 90.00
_cell_angle_beta 90.00
_cell_angle_gamma 120.00
loop_
_atom_site_label
_atom_site_fract_x
_atom_site_fract_y
_atom_site_fract_z
_atom_site_occupancy
Rb1 0.0000 0.0000 0.0000 1
Mn1 0.6667 0.3333 0.5000 1
Cd1 0.3333 0.6667 0.5000 1
H1 0.5331 0.0662 0.2884 1
```

Principal peaks in the range 10° ≤ 2θ ≤ 90°, low angle first:
hkl 0 0 1, d = 5.555 Å, I = 14
hkl 1 0 1, d = 3.363 Å, I = 100
hkl 0 0 2, d = 2.777 Å, I = 19
hkl 1 1 0, d = 2.439 Å, I = 42
hkl 2 0 1, d = 1.975 Å, I = 21
hkl 1 1 2, d = 1.833 Å, I = 35
hkl 1 0 3, d = 1.696 Å, I = 13
hkl 2 1 1, d = 1.535 Å, I = 19
hkl 3 0 2, d = 1.256 Å, I = 10
hkl 2 1 3, d = 1.209 Å, I = 8
hkl 1 1 4, d = 1.207 Å, I = 8
hkl 3 1 1, d = 1.147 Å, I = 7


The following is a computed X-ray diffraction stick pattern of CdPH6NO5. It was derived from the GGA-PBE geometry in Alexandria, using λ = 1.5418 Å (Cu Kα).
Lines closer than 0.1° are merged.

Atomic structure:
```
data_CdPH6NO5
_symmetry_space_group_name_H-M 'P n m a'
_symmetry_Int_Tables_number 62
_cell_length_a 18.343
_cell_length_b 5.882
_cell_length_c 4.985
_cell_angle_alpha 90.00
_cell_angle_beta 90.00
_cell_angle_gamma 90.00
loop_
_symmetry_equiv_pos_as_xyz
'x,y,z'
'-x,-y,-z'
'-x+1/2,-y,z+1/2'
'x+1/2,y,-z+1/2'
'x+1/2,-y+1/2,-z+1/2'
'-x+1/2,y+1/2,z+1/2'
'-x,y+1/2,-z'
'x,-y+1/2,z'
loop_
_atom_site_label
_atom_site_fract_x
_atom_site_fract_y
_atom_site_fract_z
_atom_site_occupancy
Cd1 0.235 0.250 0.141 1
P1 0.146 0.750 0.218 1
H1 0.023 0.750 0.927 1
H2 0.024 0.750 0.576 1
H3 0.041 0.105 0.250 1
H4 0.151 0.117 0.680 1
N1 0.009 0.250 0.250 1
O1 0.062 0.750 0.252 1
O2 0.144 0.250 0.799 1
O3 0.167 0.750 0.921 1
O4 0.180 0.537 0.368 1
```

Principal peaks in the range 10° ≤ 2θ ≤ 90°, low angle first:
hkl 2 0 1, d = 4.380 Å, I = 24
hkl 1 1 1, d = 3.724 Å, I = 38
hkl 2 1 1, d = 3.513 Å, I = 40
hkl 3 1 1, d = 3.229 Å, I = 35
hkl 0 2 0, d = 2.941 Å, I = 45
hkl 4 1 1, d = 2.927 Å, I = 100
hkl 5 1 1, d = 2.640 Å, I = 23
hkl 4 2 0, d = 2.473 Å, I = 19
hkl 6 1 1, d = 2.383 Å, I = 19
hkl 1 2 2, d = 1.891 Å, I = 23
hkl 3 2 2, d = 1.816 Å, I = 19
hkl 7 0 2, d = 1.807 Å, I = 19


The following is a computed X-ray diffraction stick pattern of CdH10S2N4O8. It was derived from the GGA-PBE geometry in Alexandria, using λ = 1.5418 Å (Cu Kα).
Lines closer than 0.1° are merged.

Atomic structure:
```
data_CdH10S2N4O8
_symmetry_space_group_name_H-M 'P -1'
_symmetry_Int_Tables_number 2
_cell_length_a 5.615
_cell_length_b 5.936
_cell_length_c 7.535
_cell_angle_alpha 91.13
_cell_angle_beta 103.54
_cell_angle_gamma 99.04
loop_
_symmetry_equiv_pos_as_xyz
'x,y,z'
'-x,-y,-z'
loop_
_atom_site_label
_atom_site_fract_x
_atom_site_fract_y
_atom_site_fract_z
_atom_site_occupancy
Cd1 0.000 0.000 0.000 1
H1 0.081 0.314 0.718 1
H2 0.112 0.916 0.384 1
H3 0.256 0.566 0.187 1
H4 0.303 0.605 0.420 1
H5 0.440 0.807 0.299 1
S1 0.362 0.743 0.773 1
N1 0.071 0.805 0.270 1
N2 0.281 0.685 0.295 1
O1 0.185 0.716 0.895 1
O2 0.296 0.537 0.641 1
O3 0.338 0.953 0.669 1
O4 0.378 0.250 0.118 1
```

Principal peaks in the range 10° ≤ 2θ ≤ 90°, low angle first:
hkl 0 0 1, d = 7.313 Å, I = 100
hkl 0 1 0, d = 5.852 Å, I = 40
hkl 0 1 -1, d = 4.706 Å, I = 84
hkl -1 1 1, d = 4.004 Å, I = 69
hkl 1 0 1, d = 3.910 Å, I = 51
hkl 1 1 0, d = 3.669 Å, I = 82
hkl 1 0 -2, d = 3.432 Å, I = 33
hkl 0 1 -2, d = 3.186 Å, I = 41
hkl 1 1 1, d = 3.044 Å, I = 30
hkl -1 1 2, d = 3.028 Å, I = 38
hkl 2 0 -1, d = 2.749 Å, I = 27
hkl 1 -1 2, d = 2.613 Å, I = 34